1.
Theoretical powder diffraction line list of Na4TaAlSi3O12 for Cu Kα (λ = 1.5418 Å), from DFT lattice parameters and positions (GGA-PBE).

Top 10 peaks for 2θ from 10° to 90°, in order of rising 2θ:
(0 1 2), 2θ 13.94, d 6.353, I = 70; (1 0 4), 2θ 19.76, d 4.493, I = 100; (2 0 2), 2θ 24.27, d 3.667, I = 25; (0 2 4), 2θ 28.09, d 3.176, I = 27; (1 1 6), 2θ 31.48, d 2.842, I = 86; (3 0 0), 2θ 34.60, d 2.593, I = 53; (1 2 8), 2θ 45.13, d 2.009, I = 28; (2 2 6), 2θ 47.46, d 1.915, I = 32; (3 1 8), 2θ 53.99, d 1.698, I = 19; (1 4 6), 2θ 60.07, d 1.540, I = 20

Cell and atoms:
abc: 8.9781 8.9781 22.0388
angles: 90.00 90.00 120.00
Space group R3c (No. 161, hexagonal axes)
Asymmetric unit:
Na1 0.0000 0.0000 0.0000
Na2 0.0393 0.3424 0.0859
Ta1 0.0000 0.0000 0.1513
Al1 0.0000 0.0000 0.3577
Si1 0.0475 0.3742 0.9243
O1 0.0232 0.1837 0.9157
O2 0.0342 0.2007 0.1968
O3 0.1683 0.4680 0.9822
O4 0.1711 0.4786 0.2606


2.
Theoretical powder diffraction line list of Li3CuF4 for Cu Kα (λ = 1.5418 Å), from DFT lattice parameters and positions (GGA-PBE).

Top 10 peaks for 2θ from 10° to 90°, in order of rising 2θ:
(0 0 4), 2θ 17.34, d 5.113, I = 49; (0 0 6), 2θ 26.14, d 3.409, I = 18; (1 0 1), 2θ 36.28, d 2.476, I = 75; (1 0 3), 2θ 38.43, d 2.342, I = 20; (1 0 4), 2θ 40.23, d 2.242, I = 22; (1 0 5), 2θ 42.45, d 2.130, I = 100; (0 0 10), 2θ 44.29, d 2.045, I = 16; (1 0 6), 2θ 45.04, d 2.013, I = 72; (1 0 11), 2θ 62.28, d 1.491, I = 27; (1 1 0), 2θ 64.73, d 1.440, I = 32

Cell and atoms:
abc: 2.8802 2.8802 20.4522
angles: 90.00 90.00 120.00
Space group P6_3/mmc (No. 194)
Asymmetric unit:
Li1 0.0000 0.0000 0.0000
Li2 0.3333 0.6667 0.1159
Cu1 0.3333 0.6667 0.7500
F1 0.0000 0.0000 0.1717
F2 0.3333 0.6667 0.5581


3.
Theoretical powder diffraction line list of LaCoN3 for Cu Kα (λ = 1.5418 Å), from DFT lattice parameters and positions (GGA-PBE).

Top 10 peaks for 2θ from 10° to 90°, in order of rising 2θ:
(0 0 1), 2θ 12.11, d 7.309, I = 73; (2 0 -1), 2θ 18.38, d 4.827, I = 32; (1 1 -1), 2θ 25.53, d 3.489, I = 91; (1 1 1), 2θ 27.37, d 3.259, I = 67; (1 1 -2), 2θ 32.57, d 2.749, I = 50; (4 0 -1), 2θ 33.48, d 2.677, I = 34; (3 1 0), 2θ 33.80, d 2.652, I = 100; (0 0 3), 2θ 36.90, d 2.436, I = 33; (0 2 0), 2θ 44.52, d 2.035, I = 36; (3 1 2), 2θ 45.62, d 1.989, I = 35

Cell and atoms:
abc: 10.800 4.070 7.512
angles: 90.00 103.35 90.00
Space group C2/m (No. 12)
Asymmetric unit:
La1 0.164 0.000 0.303
Co1 0.041 0.500 0.654
N1 0.106 0.500 0.881
N2 0.134 0.500 0.474
N3 0.149 0.500 0.040